1.
Structure and calculated PXRD pattern of LiSe2O6 (a crystal structure in Alexandria, relaxed with GGA-PBE; copper Kα).
Lines closer than 0.1° are merged.

Structural model:
```
data_LiSe2O6
_chemical_formula_sum 'Li2 Se4 O12'
_symmetry_space_group_name_H-M 'P 1 c 1'
_symmetry_Int_Tables_number 7
_cell_length_a 5.5608
_cell_length_b 7.5296
_cell_length_c 8.6033
_cell_angle_alpha 90.00
_cell_angle_beta 127.09
_cell_angle_gamma 90.00
loop_
_symmetry_equiv_pos_as_xyz
'x,y,z'
'x,-y,z+1/2'
loop_
_atom_site_label
_atom_site_type_symbol
_atom_site_fract_x
_atom_site_fract_y
_atom_site_fract_z
Li1 Li 0.0000 0.2055 0.0000
Se1 Se 0.2105 0.2422 0.6721
Se2 Se 0.6889 0.3638 0.2343
O1 O 0.0556 0.0572 0.5524
O2 O 0.1739 0.2923 0.8436
O3 O 0.4297 0.2724 0.2464
O4 O 0.5562 0.2802 0.7396
O5 O 0.8551 0.2261 0.1748
O6 O 0.9887 0.4192 0.4942
```

Top 6 peaks for 10 to 90 degrees two-theta, by angle:
d [Å]	2theta	Rel. int.	(hkl)
7.530	11.75	22	0 1 0
4.469	19.87	100	1 1 -1
4.207	21.12	23	1 0 -2
3.765	23.63	29	0 2 0
3.431	25.97	33	0 0 2
2.780	32.20	42	1 1 1


2.
Structure and calculated PXRD pattern of LiSe2O6 (a crystal structure in Alexandria, relaxed with GGA-PBE; copper Kα).
Lines closer than 0.1° are merged.

Structural model:
```
data_LiSe2O6
_chemical_formula_sum 'Li2 Se4 O12'
_symmetry_space_group_name_H-M 'P 1 c 1'
_symmetry_Int_Tables_number 7
_cell_length_a 5.1047
_cell_length_b 9.5822
_cell_length_c 6.0520
_cell_angle_alpha 90.00
_cell_angle_beta 94.40
_cell_angle_gamma 90.00
loop_
_symmetry_equiv_pos_as_xyz
'x,y,z'
'x,-y,z+1/2'
loop_
_atom_site_label
_atom_site_type_symbol
_atom_site_fract_x
_atom_site_fract_y
_atom_site_fract_z
Li1 Li 0.0000 0.2502 0.0000
Se1 Se 0.4638 0.0963 0.7801
Se2 Se 0.5362 0.4037 0.2209
O1 O 0.2154 0.3874 0.2101
O2 O 0.3009 0.2452 0.7859
O3 O 0.3434 0.0024 0.5270
O4 O 0.6567 0.4972 0.4748
O5 O 0.6990 0.2548 0.2146
O6 O 0.7845 0.1129 0.7907
```

Top 6 peaks for 10 to 90 degrees two-theta, by angle:
d [Å]	2theta	Rel. int.	(hkl)
5.091	17.42	100	1 0 0
3.752	23.71	98	0 2 1
3.091	28.88	34	1 2 -1
3.017	29.61	24	0 0 2
2.954	30.26	28	1 2 1
2.061	43.93	13	2 2 1


3.
Structure and calculated PXRD pattern of Li2Sm3Se3O2 (a crystal structure in Alexandria, relaxed with GGA-PBE; copper Kα).
Lines closer than 0.1° are merged.

Structural model:
```
data_Li2Sm3Se3O2
_chemical_formula_sum 'Li4 Sm6 Se6 O4'
_symmetry_space_group_name_H-M 'I 4/m m m'
_symmetry_Int_Tables_number 139
_symmetry_space_group_name_Hall '-I 4 2'
_cell_length_a 4.0934
_cell_length_b 4.0934
_cell_length_c 25.2459
_cell_angle_alpha 90.00
_cell_angle_beta 90.00
_cell_angle_gamma 90.00
loop_
_atom_site_label
_atom_site_type_symbol
_atom_site_fract_x
_atom_site_fract_y
_atom_site_fract_z
Li1 Li 0.0000 0.5000 0.2500
Sm1 Sm 0.0000 0.0000 0.0000
Sm2 Sm 0.0000 0.0000 0.3620
Se1 Se 0.0000 0.0000 0.1179
Se2 Se 0.0000 0.0000 0.5000
O1 O 0.0000 0.0000 0.2801
```

Top 6 peaks for 10 to 90 degrees two-theta, by angle:
d [Å]	2theta	Rel. int.	(hkl)
3.681	24.18	45	1 0 3
3.156	28.28	49	0 0 8
2.894	30.89	100	1 1 0
2.133	42.37	61	1 1 8
2.047	44.25	39	2 0 0
1.717	53.35	33	2 0 8


4.
Structure and calculated PXRD pattern of LiSn2SeO (a crystal structure in Alexandria, relaxed with GGA-PBE; copper Kα).
Lines closer than 0.1° are merged.

Structural model:
```
data_LiSn2SeO
_chemical_formula_sum 'Li1 Sn2 Se1 O1'
_symmetry_space_group_name_H-M 'P 4/m m m'
_symmetry_Int_Tables_number 123
_symmetry_space_group_name_Hall '-P 4 2'
_cell_length_a 4.6954
_cell_length_b 4.6954
_cell_length_c 5.0151
_cell_angle_alpha 90.00
_cell_angle_beta 90.00
_cell_angle_gamma 90.00
loop_
_atom_site_label
_atom_site_type_symbol
_atom_site_fract_x
_atom_site_fract_y
_atom_site_fract_z
Li1 Li 0.0000 0.0000 0.0000
Sn1 Sn 0.0000 0.5000 0.5000
Se1 Se 0.5000 0.5000 0.0000
O1 O 0.5000 0.5000 0.5000
```

Top 6 peaks for 10 to 90 degrees two-theta, by angle:
d [Å]	2theta	Rel. int.	(hkl)
5.015	17.69	34	0 0 1
2.768	32.34	100	1 1 1
2.508	35.81	23	0 0 2
2.348	38.34	39	2 0 0
1.714	53.47	30	2 0 2
1.424	65.57	28	3 1 1